Entry 1:
Simulated powder diffraction line list of Al6Co5 for Cu Kα X-rays, from a GGA-PBE-relaxed structure.

Crystal structure
```
data_Al6Co5
_chemical_formula_sum 'Al12 Co10'
_symmetry_space_group_name_H-M 'I m m m'
_symmetry_Int_Tables_number 71
_symmetry_space_group_name_Hall '-I 2 2'
_cell_length_a 4.045
_cell_length_b 5.600
_cell_length_c 12.116
_cell_angle_alpha 90.00
_cell_angle_beta 90.00
_cell_angle_gamma 90.00
loop_
_atom_site_label
_atom_site_type_symbol
_atom_site_fract_x
_atom_site_fract_y
_atom_site_fract_z
Al1 Al 0.000 0.237 0.000
Al2 Al 0.000 0.257 0.336
Co1 Co 0.000 0.000 0.172
Co2 Co 0.000 0.000 0.500
Co3 Co 0.000 0.500 0.162
```

Main lines, by intensity (15° ≤ 2θ ≤ 90°):
| two_theta | d/Å | I_rel | h k l |
| --- | --- | --- | --- |
| 45.34 | 2.000 | 100 | 1 2 3 |
| 44.85 | 2.021 | 52 | 2 0 0 |
| 65.30 | 1.429 | 16 | 2 0 6 |
| 83.01 | 1.163 | 15 | 3 2 3 |
| 83.12 | 1.162 | 15 | 1 2 9 |
| 84.12 | 1.151 | 15 | 2 4 0 |
| 31.30 | 2.858 | 14 | 1 0 3 |
| 17.45 | 5.083 | 11 | 0 1 1 |
| 27.21 | 3.277 | 7 | 1 1 0 |
| 66.83 | 1.400 | 7 | 0 4 0 |

---

Entry 2:
Simulated powder diffraction line list of Sc2Ni2Pt for Cu Kα X-rays, from a GGA-PBE-relaxed structure.

Crystal structure
```
data_Sc2Ni2Pt
_chemical_formula_sum 'Sc4 Ni4 Pt2'
_symmetry_space_group_name_H-M 'I 4/m m m'
_symmetry_Int_Tables_number 139
_symmetry_space_group_name_Hall '-I 4 2'
_cell_length_a 4.810
_cell_length_b 4.810
_cell_length_c 7.339
_cell_angle_alpha 90.00
_cell_angle_beta 90.00
_cell_angle_gamma 90.00
loop_
_atom_site_label
_atom_site_type_symbol
_atom_site_fract_x
_atom_site_fract_y
_atom_site_fract_z
Sc1 Sc 0.000 0.500 0.250
Ni1 Ni 0.000 0.000 0.150
Pt1 Pt 0.000 0.000 0.500
```

Main lines, by intensity (15° ≤ 2θ ≤ 90°):
| two_theta | d/Å | I_rel | h k l |
| --- | --- | --- | --- |
| 37.39 | 2.405 | 100 | 2 0 0 |
| 41.41 | 2.181 | 89 | 1 0 3 |
| 26.20 | 3.401 | 80 | 1 1 0 |
| 36.00 | 2.495 | 76 | 1 1 2 |
| 57.01 | 1.615 | 68 | 2 1 3 |
| 22.10 | 4.023 | 57 | 1 0 1 |
| 53.91 | 1.701 | 34 | 2 2 0 |
| 66.56 | 1.405 | 33 | 3 1 2 |
| 82.32 | 1.171 | 23 | 3 2 3 |
| 43.86 | 2.064 | 21 | 2 1 1 |

---

Entry 3:
Simulated powder diffraction line list of Cs2AsAu2 for Cu Kα X-rays, from a GGA-PBE-relaxed structure.

Crystal structure
```
data_Cs2AsAu2
_chemical_formula_sum 'Cs4 As2 Au4'
_symmetry_space_group_name_H-M 'I m m m'
_symmetry_Int_Tables_number 71
_symmetry_space_group_name_Hall '-I 2 2'
_cell_length_a 4.779
_cell_length_b 5.712
_cell_length_c 11.977
_cell_angle_alpha 90.00
_cell_angle_beta 90.00
_cell_angle_gamma 90.00
loop_
_atom_site_label
_atom_site_type_symbol
_atom_site_fract_x
_atom_site_fract_y
_atom_site_fract_z
Cs1 Cs 0.000 0.000 0.198
As1 As 0.000 0.500 0.000
Au1 Au 0.000 0.253 0.500
```

Main lines, by intensity (15° ≤ 2θ ≤ 90°):
| two_theta | d/Å | I_rel | h k l |
| --- | --- | --- | --- |
| 37.44 | 2.402 | 100 | 1 2 1 |
| 29.15 | 3.064 | 89 | 1 0 3 |
| 53.48 | 1.713 | 62 | 1 2 5 |
| 28.55 | 3.126 | 56 | 1 1 2 |
| 34.80 | 2.578 | 54 | 0 2 2 |
| 29.84 | 2.994 | 43 | 0 0 4 |
| 37.64 | 2.389 | 43 | 2 0 0 |
| 20.00 | 4.439 | 40 | 1 0 1 |
| 52.20 | 1.752 | 34 | 2 2 2 |
| 27.25 | 3.272 | 31 | 0 1 3 |

---

Entry 4:
Simulated powder diffraction line list of Nd3Ho5Tl2 for Cu Kα X-rays, from a GGA-PBE-relaxed structure.

Crystal structure
```
data_Nd3Ho5Tl2
_chemical_formula_sum 'Nd12 Ho20 Tl8'
_symmetry_space_group_name_H-M 'I b a m'
_symmetry_Int_Tables_number 72
_symmetry_space_group_name_Hall '-I 2 2c'
_cell_length_a 12.964
_cell_length_b 15.487
_cell_length_c 6.476
_cell_angle_alpha 90.00
_cell_angle_beta 90.00
_cell_angle_gamma 90.00
loop_
_atom_site_label
_atom_site_type_symbol
_atom_site_fract_x
_atom_site_fract_y
_atom_site_fract_z
Nd1 Nd 0.000 0.000 0.250
Nd2 Nd 0.120 0.238 0.000
Ho1 Ho 0.000 0.500 0.250
Ho2 Ho 0.118 0.336 0.500
Ho3 Ho 0.246 0.500 0.250
Tl1 Tl 0.137 0.146 0.500
```

Main lines, by intensity (15° ≤ 2θ ≤ 90°):
| two_theta | d/Å | I_rel | h k l |
| --- | --- | --- | --- |
| 29.90 | 2.988 | 100 | 0 2 2 |
| 39.33 | 2.291 | 46 | 4 0 2 |
| 34.97 | 2.566 | 44 | 2 5 1 |
| 36.15 | 2.484 | 34 | 0 4 2 |
| 53.64 | 1.709 | 25 | 2 5 3 |
| 26.00 | 3.426 | 21 | 2 3 1 |
| 65.55 | 1.424 | 21 | 4 2 4 |
| 20.21 | 4.393 | 17 | 2 1 1 |
| 66.98 | 1.397 | 16 | 0 10 2 |
| 53.48 | 1.713 | 13 | 4 6 2 |

---

Entry 5:
Simulated powder diffraction line list of Li2TmBi for Cu Kα X-rays, from a GGA-PBE-relaxed structure.

Crystal structure
```
data_Li2TmBi
_chemical_formula_sum 'Li2 Tm1 Bi1'
_symmetry_space_group_name_H-M 'P 4/m m m'
_symmetry_Int_Tables_number 123
_symmetry_space_group_name_Hall '-P 4 2'
_cell_length_a 4.424
_cell_length_b 4.424
_cell_length_c 4.810
_cell_angle_alpha 90.00
_cell_angle_beta 90.00
_cell_angle_gamma 90.00
loop_
_atom_site_label
_atom_site_type_symbol
_atom_site_fract_x
_atom_site_fract_y
_atom_site_fract_z
Li1 Li 0.000 0.500 0.000
Tm1 Tm 0.000 0.000 0.500
Bi1 Bi 0.500 0.500 0.500
```

Main lines, by intensity (15° ≤ 2θ ≤ 90°):
| two_theta | d/Å | I_rel | h k l |
| --- | --- | --- | --- |
| 18.45 | 4.810 | 100 | 0 0 1 |
| 34.19 | 2.622 | 99 | 1 1 1 |
| 28.53 | 3.128 | 71 | 1 1 0 |
| 45.11 | 2.010 | 42 | 2 0 1 |
| 47.70 | 1.907 | 36 | 1 1 2 |
| 40.79 | 2.212 | 31 | 2 0 0 |
| 70.04 | 1.343 | 26 | 3 1 1 |
| 56.52 | 1.628 | 24 | 2 0 2 |
| 37.39 | 2.405 | 20 | 0 0 2 |
| 79.21 | 1.209 | 17 | 3 1 2 |

---

Entry 6:
Simulated powder diffraction line list of YTeIr2 for Cu Kα X-rays, from a GGA-PBE-relaxed structure.

Crystal structure
```
data_YTeIr2
_chemical_formula_sum 'Y1 Te1 Ir2'
_symmetry_space_group_name_H-M 'P 1 m 1'
_symmetry_Int_Tables_number 6
_symmetry_space_group_name_Hall 'P -2y'
_cell_length_a 4.379
_cell_length_b 4.066
_cell_length_c 5.447
_cell_angle_alpha 90.00
_cell_angle_beta 112.51
_cell_angle_gamma 90.00
loop_
_atom_site_label
_atom_site_type_symbol
_atom_site_fract_x
_atom_site_fract_y
_atom_site_fract_z
Y1 Y 0.000 0.000 0.000
Te1 Te 0.611 0.500 0.400
Ir1 Ir 0.360 0.000 0.583
Ir2 Ir 0.407 0.500 0.886
```

Main lines, by intensity (15° ≤ 2θ ≤ 90°):
| two_theta | d/Å | I_rel | h k l |
| --- | --- | --- | --- |
| 31.43 | 2.846 | 100 | 1 1 -1 |
| 21.97 | 4.045 | 83 | 1 0 0 |
| 40.79 | 2.212 | 76 | 1 1 -2 |
| 42.24 | 2.139 | 66 | 0 1 2 |
| 44.57 | 2.033 | 43 | 0 2 0 |
| 31.19 | 2.868 | 42 | 1 1 0 |
| 33.31 | 2.690 | 36 | 1 0 1 |
| 40.20 | 2.243 | 34 | 1 1 1 |
| 41.24 | 2.189 | 29 | 2 0 -1 |
| 17.63 | 5.031 | 27 | 0 0 1 |